Starting from a PBE-relaxed structure, the XRD peak list of V2FePdN was simulated for Cu Kα (λ = 1.5418 Å).
Intensities are scaled so that the largest is 1000.

Crystal structure
```
data_V2FePdN
_chemical_formula_sum 'V2 Fe1 Pd1 N1'
_cell_length_a 3.948
_cell_length_b 3.948
_cell_length_c 3.816
_cell_angle_alpha 90.00
_cell_angle_beta 90.00
_cell_angle_gamma 90.00
_space_group_name_H-M_alt 'P 1'
_space_group_IT_number 1
_space_group_name_Hall 'P 1'
loop_
_atom_site_label
_atom_site_type_symbol
_atom_site_fract_x
_atom_site_fract_y
_atom_site_fract_z
V1 V 0.000 0.500 0.000
V2 V 0.500 0.000 0.000
Fe1 Fe 0.000 0.000 0.500
Pd1 Pd 0.500 0.500 0.500
N1 N 0.000 0.000 0.000
```

Largest 6 diffraction maxima, in order of rising 2θ, 10° ≤ 2θ ≤ 80°:
| d/Å | 2theta | intensity |
| --- | --- | --- |
| 2.744 | 32.6 | 108 |
| 2.253 | 40.0 | 1000 |
| 1.974 | 46.0 | 397 |
| 1.908 | 47.7 | 177 |
| 1.396 | 67.1 | 117 |
| 1.372 | 68.4 | 220 |

=====

Starting from a PBE-relaxed structure, the XRD peak list of SrNbSO2 was simulated for Cu Kα (λ = 1.5418 Å).
Intensities are scaled so that the largest is 1000.

Crystal structure
```
data_SrNbSO2
_chemical_formula_sum 'Sr1 Nb1 S1 O2'
_cell_length_a 4.099
_cell_length_b 4.099
_cell_length_c 5.106
_cell_angle_alpha 90.00
_cell_angle_beta 90.00
_cell_angle_gamma 90.00
_space_group_name_H-M_alt 'P 1'
_space_group_IT_number 1
_space_group_name_Hall 'P 1'
loop_
_atom_site_label
_atom_site_type_symbol
_atom_site_fract_x
_atom_site_fract_y
_atom_site_fract_z
Sr1 Sr 0.000 0.000 0.000
Nb1 Nb 0.500 0.500 0.356
S1 S 0.500 0.500 0.841
O1 O 0.000 0.500 0.334
O2 O 0.500 0.000 0.334
```

Largest 6 diffraction maxima, in order of rising 2θ, 10° ≤ 2θ ≤ 80°:
| d/Å | 2theta | intensity |
| --- | --- | --- |
| 3.197 | 27.9 | 1000 |
| 2.899 | 30.8 | 688 |
| 2.167 | 41.7 | 539 |
| 2.050 | 44.2 | 455 |
| 1.725 | 53.1 | 335 |
| 1.489 | 62.4 | 315 |

=====

Starting from a PBE-relaxed structure, the XRD peak list of RbTi2TeRh was simulated for Cu Kα (λ = 1.5418 Å).
Intensities are scaled so that the largest is 1000.

Crystal structure
```
data_RbTi2TeRh
_chemical_formula_sum 'Rb1 Ti2 Te1 Rh1'
_cell_length_a 4.903
_cell_length_b 4.903
_cell_length_c 5.752
_cell_angle_alpha 90.00
_cell_angle_beta 90.00
_cell_angle_gamma 90.00
_space_group_name_H-M_alt 'P 1'
_space_group_IT_number 1
_space_group_name_Hall 'P 1'
loop_
_atom_site_label
_atom_site_type_symbol
_atom_site_fract_x
_atom_site_fract_y
_atom_site_fract_z
Rb1 Rb 0.000 0.000 0.000
Ti1 Ti 0.000 0.500 0.500
Ti2 Ti 0.500 0.000 0.500
Te1 Te 0.500 0.500 0.000
Rh1 Rh 0.500 0.500 0.500
```

Largest 6 diffraction maxima, in order of rising 2θ, 10° ≤ 2θ ≤ 80°:
| d/Å | 2theta | intensity |
| --- | --- | --- |
| 4.903 | 18.1 | 732 |
| 3.467 | 25.7 | 735 |
| 2.969 | 30.1 | 814 |
| 2.876 | 31.1 | 789 |
| 2.451 | 36.7 | 1000 |
| 1.866 | 48.8 | 860 |

=====

Starting from a PBE-relaxed structure, the XRD peak list of Pm2PbAu2 was simulated for Cu Kα (λ = 1.5418 Å).
Intensities are scaled so that the largest is 1000.

Crystal structure
```
data_Pm2PbAu2
_chemical_formula_sum 'Pm4 Pb2 Au4'
_cell_length_a 8.216
_cell_length_b 8.216
_cell_length_c 3.853
_cell_angle_alpha 90.00
_cell_angle_beta 90.00
_cell_angle_gamma 90.00
_space_group_name_H-M_alt 'P 1'
_space_group_IT_number 1
_space_group_name_Hall 'P 1'
loop_
_atom_site_label
_atom_site_type_symbol
_atom_site_fract_x
_atom_site_fract_y
_atom_site_fract_z
Pm1 Pm 0.170 0.330 0.000
Pm2 Pm 0.330 0.830 0.000
Pm3 Pm 0.670 0.170 0.000
Pm4 Pm 0.830 0.670 0.000
Pb1 Pb 0.000 0.000 0.500
Pb2 Pb 0.500 0.500 0.500
Au1 Au 0.125 0.625 0.500
Au2 Au 0.375 0.125 0.500
Au3 Au 0.625 0.875 0.500
Au4 Au 0.875 0.375 0.500
```

Largest 6 diffraction maxima, in order of rising 2θ, 10° ≤ 2θ ≤ 80°:
| d/Å | 2theta | intensity |
| --- | --- | --- |
| 2.810 | 31.8 | 313 |
| 2.659 | 33.7 | 1000 |
| 2.598 | 34.5 | 560 |
| 1.926 | 47.2 | 160 |
| 1.547 | 59.8 | 235 |
| 1.486 | 62.5 | 168 |

=====

Starting from a PBE-relaxed structure, the XRD peak list of CaLaTe2O8 was simulated for Cu Kα (λ = 1.5418 Å).
Intensities are scaled so that the largest is 1000.

Crystal structure
```
data_CaLaTe2O8
_chemical_formula_sum 'Ca1 La1 Te2 O8'
_cell_length_a 7.037
_cell_length_b 7.037
_cell_length_c 7.037
_cell_angle_alpha 134.59
_cell_angle_beta 134.59
_cell_angle_gamma 66.17
_space_group_name_H-M_alt 'P 1'
_space_group_IT_number 1
_space_group_name_Hall 'P 1'
loop_
_atom_site_label
_atom_site_type_symbol
_atom_site_fract_x
_atom_site_fract_y
_atom_site_fract_z
Ca1 Ca 0.000 0.000 0.000
La1 La 0.250 0.750 0.500
Te1 Te 0.500 0.500 0.000
Te2 Te 0.750 0.250 0.500
O1 O 0.005 0.080 0.412
O2 O 0.250 0.658 0.073
O3 O 0.342 0.416 0.593
O4 O 0.407 0.995 0.075
O5 O 0.584 0.177 0.927
O6 O 0.668 0.593 0.588
O7 O 0.823 0.750 0.407
O8 O 0.920 0.332 0.925
```

Largest 6 diffraction maxima, in order of rising 2θ, 10° ≤ 2θ ≤ 80°:
| d/Å | 2theta | intensity |
| --- | --- | --- |
| 3.219 | 27.7 | 1000 |
| 2.716 | 33.0 | 182 |
| 1.998 | 45.4 | 317 |
| 1.921 | 47.3 | 148 |
| 1.750 | 52.3 | 167 |
| 1.649 | 55.7 | 275 |

=====

Starting from a PBE-relaxed structure, the XRD peak list of Ce2Pm2AlSi4 was simulated for Cu Kα (λ = 1.5418 Å).
Intensities are scaled so that the largest is 1000.

Crystal structure
```
data_Ce2Pm2AlSi4
_chemical_formula_sum 'Ce2 Pm2 Al1 Si4'
_cell_length_a 6.544
_cell_length_b 6.544
_cell_length_c 6.544
_cell_angle_alpha 114.83
_cell_angle_beta 114.83
_cell_angle_gamma 99.22
_space_group_name_H-M_alt 'P 1'
_space_group_IT_number 1
_space_group_name_Hall 'P 1'
loop_
_atom_site_label
_atom_site_type_symbol
_atom_site_fract_x
_atom_site_fract_y
_atom_site_fract_z
Ce1 Ce 0.170 0.170 0.000
Ce2 Ce 0.830 0.830 0.000
Pm1 Pm 0.250 0.750 0.500
Pm2 Pm 0.750 0.250 0.500
Al1 Al 0.500 0.500 0.000
Si1 Si 0.256 0.256 0.511
Si2 Si 0.256 0.744 0.000
Si3 Si 0.744 0.256 0.000
Si4 Si 0.744 0.744 0.489
```

Largest 6 diffraction maxima, in order of rising 2θ, 10° ≤ 2θ ≤ 80°:
| d/Å | 2theta | intensity |
| --- | --- | --- |
| 3.525 | 25.3 | 825 |
| 2.711 | 33.0 | 1000 |
| 2.624 | 34.2 | 312 |
| 2.492 | 36.0 | 717 |
| 2.105 | 43.0 | 312 |
| 1.477 | 62.9 | 307 |

=====

Starting from a PBE-relaxed structure, the XRD peak list of CaTa2Bi2O9 was simulated for Cu Kα (λ = 1.5418 Å).
Intensities are scaled so that the largest is 1000.

Crystal structure
```
data_CaTa2Bi2O9
_chemical_formula_sum 'Ca2 Ta4 Bi4 O18'
_cell_length_a 12.990
_cell_length_b 12.990
_cell_length_c 5.562
_cell_angle_alpha 90.00
_cell_angle_beta 90.00
_cell_angle_gamma 24.42
_space_group_name_H-M_alt 'P 1'
_space_group_IT_number 1
_space_group_name_Hall 'P 1'
loop_
_atom_site_label
_atom_site_type_symbol
_atom_site_fract_x
_atom_site_fract_y
_atom_site_fract_z
Ca1 Ca 0.244 0.756 0.500
Ca2 Ca 0.756 0.244 0.000
Ta1 Ta 0.172 0.666 0.034
Ta2 Ta 0.334 0.828 0.034
Ta3 Ta 0.666 0.172 0.534
Ta4 Ta 0.828 0.334 0.534
Bi1 Bi 0.021 0.580 0.441
Bi2 Bi 0.420 0.979 0.441
Bi3 Bi 0.580 0.021 0.941
Bi4 Bi 0.979 0.420 0.941
O1 O 0.014 0.679 0.049
O2 O 0.025 0.097 0.269
O3 O 0.097 0.025 0.769
O4 O 0.238 0.264 0.218
O5 O 0.264 0.238 0.718
O6 O 0.321 0.986 0.049
O7 O 0.330 0.670 0.073
O8 O 0.365 0.462 0.346
O9 O 0.462 0.365 0.846
O10 O 0.538 0.635 0.346
O11 O 0.635 0.538 0.846
O12 O 0.670 0.330 0.573
O13 O 0.679 0.014 0.549
O14 O 0.736 0.762 0.218
O15 O 0.762 0.736 0.718
O16 O 0.903 0.975 0.269
O17 O 0.975 0.903 0.769
O18 O 0.986 0.321 0.549
```

Largest 6 diffraction maxima, in order of rising 2θ, 10° ≤ 2θ ≤ 80°:
| d/Å | 2theta | intensity |
| --- | --- | --- |
| 3.863 | 23.0 | 161 |
| 3.549 | 25.1 | 251 |
| 3.098 | 28.8 | 1000 |
| 2.781 | 32.2 | 164 |
| 2.747 | 32.6 | 196 |
| 1.747 | 52.4 | 168 |

=====

Starting from a PBE-relaxed structure, the XRD peak list of Zn4Ga2Bi was simulated for Cu Kα (λ = 1.5418 Å).
Intensities are scaled so that the largest is 1000.

Crystal structure
```
data_Zn4Ga2Bi
_chemical_formula_sum 'Zn4 Ga2 Bi1'
_cell_length_a 7.701
_cell_length_b 7.701
_cell_length_c 7.701
_cell_angle_alpha 138.78
_cell_angle_beta 138.78
_cell_angle_gamma 59.71
_space_group_name_H-M_alt 'P 1'
_space_group_IT_number 1
_space_group_name_Hall 'P 1'
loop_
_atom_site_label
_atom_site_type_symbol
_atom_site_fract_x
_atom_site_fract_y
_atom_site_fract_z
Zn1 Zn 0.000 0.500 0.500
Zn2 Zn 0.215 0.215 0.000
Zn3 Zn 0.500 0.000 0.500
Zn4 Zn 0.785 0.785 0.000
Ga1 Ga 0.404 0.404 0.000
Ga2 Ga 0.596 0.596 0.000
Bi1 Bi 0.000 0.000 0.000
```

Largest 6 diffraction maxima, in order of rising 2θ, 10° ≤ 2θ ≤ 80°:
| d/Å | 2theta | intensity |
| --- | --- | --- |
| 6.679 | 13.3 | 774 |
| 3.834 | 23.2 | 739 |
| 2.711 | 33.0 | 1000 |
| 2.397 | 37.5 | 795 |
| 1.917 | 47.4 | 361 |
| 1.795 | 50.9 | 661 |